Calculated powder X-ray diffraction pattern of Zn2SbMoO6 for a wavelength of 1.5418 Å, from a structure optimized by DFT (PBE+U).

Cell and atoms:
a = 5.3776 Å, b = 8.0637 Å, c = 5.4026 Å
α = 90.00°, β = 90.74°, γ = 90.00°
Fractional positions:
1 Zn 0.0093 0.2500 0.4683
2 Zn 0.4796 0.2500 0.9849
3 Zn 0.5204 0.7500 0.0151
4 Zn 0.9907 0.7500 0.5317
5 Sb 0.5000 0.0000 0.5000
6 Sb 0.5000 0.5000 0.5000
7 Mo 0.0000 0.0000 0.0000
8 Mo 0.0000 0.5000 0.0000
9 O 0.1221 0.2500 0.1008
10 O 0.1549 0.5696 0.3277
11 O 0.1549 0.9304 0.3277
12 O 0.3282 0.5721 0.8310
13 O 0.3282 0.9279 0.8310
14 O 0.3855 0.2500 0.5970
15 O 0.6145 0.7500 0.4030
16 O 0.6718 0.0721 0.1690
17 O 0.6718 0.4279 0.1690
18 O 0.8451 0.0696 0.6723
19 O 0.8451 0.4304 0.6723
20 O 0.8779 0.7500 0.8992

Main lines, most intense first (10° ≤ 2θ ≤ 90°):
d [Å]  2theta  I_rel  hkl
2.779  32.2  100  1 2 -1
2.760  32.4  99  1 2 1
2.701  33.2  47  0 0 2
2.689  33.3  46  2 0 0
2.016  45.0  26  0 4 0
1.573  58.7  24  3 2 -1